Theoretical powder XRD pattern of Pa3CoRh for CuKα, from DFT lattice parameters and positions (PBE).
No peak broadening, texture or thermal motion is included.

Most intense lines, 2θ from 10° to 80°, most intense first:
- (1 3 -1), 41.79 deg, I = 100
- (1 1 -3), 38.98 deg, I = 93
- (1 0 2), 29.94 deg, I = 91
- (2 1 -2), 31.30 deg, I = 87
- (2 2 0), 33.78 deg, I = 86
- (3 1 -1), 34.10 deg, I = 73
- (1 2 0), 27.98 deg, I = 73
- (3 1 0), 34.97 deg, I = 71
- (3 1 -2), 37.86 deg, I = 67
- (0 2 2), 36.31 deg, I = 67

```
data_Pa3CoRh
_chemical_formula_sum 'Pa12 Co4 Rh4'
_space_group_name_H-M_alt 'P 1 21/c 1'
_space_group_IT_number 14
_space_group_name_Hall '-P 2ybc'
_cell_length_a 8.6005
_cell_length_b 6.9083
_cell_length_c 7.3561
_cell_angle_alpha 90.00
_cell_angle_beta 105.46
_cell_angle_gamma 90.00
loop_
_atom_site_label
_atom_site_type_symbol
_atom_site_fract_x
_atom_site_fract_y
_atom_site_fract_z
Pa1 Pa 0.0512 0.0053 0.1954
Pa2 Pa 0.2908 0.7032 0.1258
Pa3 Pa 0.3714 0.1776 0.9824
Co1 Co 0.4263 0.5105 0.8213
Rh1 Rh 0.1122 0.1492 0.5597
```